Record 1
Starting from a structure optimized by DFT (PBE), the powder XRD pattern of LaNdB12 was simulated for Cu Kα X-rays.
Intensities are scaled so that the largest is 100.

Largest 8 diffraction maxima, sorted by position, 10° ≤ 2θ ≤ 80°:
2θ (°)	I (rel.)	h k l
21.4	64	2 0 0
30.5	100	2 2 0
37.6	42	2 2 2
43.7	22	4 0 0
49.1	49	4 2 0
54.2	27	4 2 2
67.8	28	4 4 2
72.0	20	6 2 0

Cell and atoms:
```
data_LaNdB12
_space_group_name_H-M_alt 'F m -3 m'
_space_group_IT_number 225
_space_group_name_Hall '-F 4 2 3'
_cell_length_a 8.291
_cell_length_b 8.291
_cell_length_c 8.291
_cell_angle_alpha 90.00
_cell_angle_beta 90.00
_cell_angle_gamma 90.00
loop_
_atom_site_label
_atom_site_type_symbol
_atom_site_fract_x
_atom_site_fract_y
_atom_site_fract_z
La1 La 0.000 0.000 0.000
Nd1 Nd 0.000 0.000 0.500
B1 B 0.100 0.250 0.250
```


Record 2
Starting from a structure optimized by DFT (PBE), the powder XRD pattern of LaNi4B2 was simulated for Cu Kα X-rays.
Intensities are scaled so that the largest is 100.

Largest 8 diffraction maxima, sorted by position, 10° ≤ 2θ ≤ 80°:
2θ (°)	I (rel.)	h k l
33.9	97	1 1 1
34.5	59	2 2 0
37.5	100	2 0 -1
38.1	36	0 2 1
38.4	78	3 1 0
39.0	96	1 3 0
45.8	63	2 2 1
49.1	71	1 3 -1

Cell and atoms:
```
data_LaNi4B2
_space_group_name_H-M_alt 'C 1 2/m 1'
_space_group_IT_number 12
_space_group_name_Hall '-C 2y'
_cell_length_a 7.432
_cell_length_b 7.289
_cell_length_c 3.098
_cell_angle_alpha 90.00
_cell_angle_beta 91.08
_cell_angle_gamma 90.00
loop_
_atom_site_label
_atom_site_type_symbol
_atom_site_fract_x
_atom_site_fract_y
_atom_site_fract_z
La1 La 0.000 0.000 0.000
Ni1 Ni 0.146 0.327 0.265
B1 B 0.074 0.500 0.759
```


Record 3
Starting from a structure optimized by DFT (PBE), the powder XRD pattern of La2Ni6B3 was simulated for Cu Kα X-rays.
Intensities are scaled so that the largest is 100.

Largest 8 diffraction maxima, sorted by position, 10° ≤ 2θ ≤ 80°:
2θ (°)	I (rel.)	h k l
30.4	35	1 1 2
33.2	100	1 2 1
34.1	29	0 2 2
35.0	38	0 1 3
40.6	75	2 0 2
41.3	23	0 3 1
43.5	22	2 2 0
63.8	25	2 3 3

Cell and atoms:
```
data_La2Ni6B3
_space_group_name_H-M_alt 'I m m 2'
_space_group_IT_number 44
_space_group_name_Hall 'I 2 -2'
_cell_length_a 5.265
_cell_length_b 6.800
_cell_length_c 8.297
_cell_angle_alpha 90.00
_cell_angle_beta 90.00
_cell_angle_gamma 90.00
loop_
_atom_site_label
_atom_site_type_symbol
_atom_site_fract_x
_atom_site_fract_y
_atom_site_fract_z
La1 La 0.000 0.000 0.000
La2 La 0.000 0.500 0.117
Ni1 Ni 0.000 0.233 0.562
Ni2 Ni 0.249 0.312 0.809
B1 B 0.000 0.000 0.412
B2 B 0.000 0.500 0.460
B3 B 0.000 0.500 0.687
```


Record 4
Starting from a structure optimized by DFT (PBE), the powder XRD pattern of La4B6O15 was simulated for Cu Kα X-rays.
Intensities are scaled so that the largest is 100.

Largest 8 diffraction maxima, sorted by position, 10° ≤ 2θ ≤ 80°:
2θ (°)	I (rel.)	h k l
21.7	70	2 0 -4
24.7	32	2 0 4
29.5	100	4 0 0
30.2	61	1 1 -5
31.7	36	1 1 5
39.9	22	0 2 0
45.7	21	1 1 -9
45.9	43	0 0 10

Cell and atoms:
```
data_La4B6O15
_space_group_name_H-M_alt 'C 1 2/c 1'
_space_group_IT_number 15
_space_group_name_Hall '-C 2yc'
_cell_length_a 12.221
_cell_length_b 4.517
_cell_length_c 19.921
_cell_angle_alpha 90.00
_cell_angle_beta 97.39
_cell_angle_gamma 90.00
loop_
_atom_site_label
_atom_site_type_symbol
_atom_site_fract_x
_atom_site_fract_y
_atom_site_fract_z
La1 La 0.122 0.205 0.094
La2 La 0.141 0.211 0.303
B1 B 0.060 0.283 0.694
B2 B 0.105 0.290 0.911
B3 B 0.173 0.199 0.472
O1 O 0.000 0.155 0.750
O2 O 0.003 0.183 0.626
O3 O 0.059 0.398 0.196
O4 O 0.093 0.391 0.432
O5 O 0.129 0.103 0.972
O6 O 0.171 0.151 0.701
O7 O 0.188 0.268 0.864
O8 O 0.208 0.288 0.546
```


Record 5
Starting from a structure optimized by DFT (PBE), the powder XRD pattern of LaB4O7 was simulated for Cu Kα X-rays.
Intensities are scaled so that the largest is 100.

Largest 8 diffraction maxima, sorted by position, 10° ≤ 2θ ≤ 80°:
2θ (°)	I (rel.)	h k l
15.8	43	2 0 0
20.9	40	1 1 0
22.4	70	1 0 1
28.6	44	0 1 1
30.8	51	3 1 0
31.9	75	3 0 1
32.9	100	2 1 1
47.9	51	1 1 2

Cell and atoms:
```
data_LaB4O7
_space_group_name_H-M_alt 'P m n 21'
_space_group_IT_number 31
_space_group_name_Hall 'P 2ac -2'
_cell_length_a 11.203
_cell_length_b 4.602
_cell_length_c 4.245
_cell_angle_alpha 90.00
_cell_angle_beta 90.00
_cell_angle_gamma 90.00
loop_
_atom_site_label
_atom_site_type_symbol
_atom_site_fract_x
_atom_site_fract_y
_atom_site_fract_z
La1 La 0.000 0.190 0.000
B1 B 0.122 0.673 0.427
B2 B 0.242 0.821 0.898
O1 O 0.000 0.701 0.298
O2 O 0.129 0.755 0.752
O3 O 0.165 0.385 0.353
O4 O 0.210 0.893 0.241
```